Record 1
Diffraction record for Er2ThOF10. The PXRD pattern is simulated, not measured: it uses a cell relaxed with PBE and Cu Kα (λ = 1.5418 Å).

Crystal structure
```
data_Er2ThOF10
_chemical_formula_sum 'Er8 Th4 O4 F40'
_space_group_name_H-M_alt 'I 4/m m m'
_space_group_IT_number 139
_space_group_name_Hall '-I 4 2'
_cell_length_a 8.1638
_cell_length_b 8.1638
_cell_length_c 12.2010
_cell_angle_alpha 90.00
_cell_angle_beta 90.00
_cell_angle_gamma 90.00
loop_
_atom_site_label
_atom_site_type_symbol
_atom_site_fract_x
_atom_site_fract_y
_atom_site_fract_z
Er1 Er 0.2409 0.2409 0.0000
Th1 Th 0.0000 0.0000 0.2408
O1 O 0.0000 0.5000 0.2500
F1 F 0.0000 0.2223 0.1051
F2 F 0.0000 0.3128 0.5000
F3 F 0.1677 0.1677 0.3380
```

Largest 10 diffraction maxima, sorted by position, 2θ from 10° to 90°:
h k l, Position (°2θ), intensity
1 1 0, 15.3, 297
1 1 2, 21.2, 284
2 0 2, 26.3, 1000
0 0 4, 29.3, 152
2 2 0, 31.0, 261
2 2 4, 43.1, 311
4 0 0, 44.4, 157
2 0 6, 50.1, 204
4 2 2, 52.3, 351
4 0 4, 54.1, 138



Record 2
Diffraction record for Pm3Ho4Ir4. The PXRD pattern is simulated, not measured: it uses a cell relaxed with PBE and Cu Kα (λ = 1.5418 Å).

Crystal structure
```
data_Pm3Ho4Ir4
_chemical_formula_sum 'Pm6 Ho8 Ir8'
_space_group_name_H-M_alt 'I m m m'
_space_group_IT_number 71
_space_group_name_Hall '-I 2 2'
_cell_length_a 3.9469
_cell_length_b 8.6404
_cell_length_c 15.9154
_cell_angle_alpha 90.00
_cell_angle_beta 90.00
_cell_angle_gamma 90.00
loop_
_atom_site_label
_atom_site_type_symbol
_atom_site_fract_x
_atom_site_fract_y
_atom_site_fract_z
Pm1 Pm 0.0000 0.0000 0.0000
Pm2 Pm 0.0000 0.5000 0.1014
Ho1 Ho 0.0000 0.3086 0.3318
Ir1 Ir 0.0000 0.0000 0.2432
Ir2 Ir 0.0000 0.2161 0.5000
```

Largest 10 diffraction maxima, sorted by position, 2θ from 10° to 90°:
h k l, Position (°2θ), intensity
0 1 5, 29.9, 188
1 2 1, 31.2, 1000
1 1 4, 33.6, 775
0 3 3, 35.5, 373
1 0 5, 36.3, 222
0 2 6, 39.9, 435
1 3 2, 40.4, 368
2 0 0, 46.0, 395
2 2 6, 62.5, 235
1 5 4, 63.2, 269



Record 3
Diffraction record for In4Sn3Cl10. The PXRD pattern is simulated, not measured: it uses a cell relaxed with PBE and Cu Kα (λ = 1.5418 Å).

Crystal structure
```
data_In4Sn3Cl10
_chemical_formula_sum 'In8 Sn6 Cl20'
_space_group_name_H-M_alt 'I 4/m m m'
_space_group_IT_number 139
_space_group_name_Hall '-I 4 2'
_cell_length_a 5.5531
_cell_length_b 5.5531
_cell_length_c 38.0293
_cell_angle_alpha 90.00
_cell_angle_beta 90.00
_cell_angle_gamma 90.00
loop_
_atom_site_label
_atom_site_type_symbol
_atom_site_fract_x
_atom_site_fract_y
_atom_site_fract_z
In1 In 0.0000 0.0000 0.0756
In2 In 0.0000 0.0000 0.2056
Sn1 Sn 0.0000 0.0000 0.3559
Sn2 Sn 0.0000 0.0000 0.5000
Cl1 Cl 0.0000 0.0000 0.2773
Cl2 Cl 0.0000 0.0000 0.4264
Cl3 Cl 0.0000 0.5000 0.0000
Cl4 Cl 0.0000 0.5000 0.1372
```

Largest 10 diffraction maxima, sorted by position, 2θ from 10° to 90°:
h k l, Position (°2θ), intensity
1 1 0, 22.6, 667
1 0 7, 22.9, 1000
2 0 0, 32.2, 685
0 0 14, 33.0, 260
2 1 7, 39.9, 494
1 1 14, 40.4, 240
2 2 0, 46.2, 240
2 0 14, 46.8, 375
3 1 0, 52.1, 145
2 2 14, 58.0, 193



Record 4
Diffraction record for AcLa2Sm5Tm. The PXRD pattern is simulated, not measured: it uses a cell relaxed with PBE and Cu Kα (λ = 1.5418 Å).

Crystal structure
```
data_AcLa2Sm5Tm
_chemical_formula_sum 'Ac4 La8 Sm20 Tm4'
_space_group_name_H-M_alt 'C m c m'
_space_group_IT_number 63
_space_group_name_Hall '-C 2c 2'
_cell_length_a 5.5450
_cell_length_b 22.4002
_cell_length_c 10.4840
_cell_angle_alpha 90.00
_cell_angle_beta 90.00
_cell_angle_gamma 90.00
loop_
_atom_site_label
_atom_site_type_symbol
_atom_site_fract_x
_atom_site_fract_y
_atom_site_fract_z
Ac1 Ac 0.0000 0.0994 0.2500
La1 La 0.0000 0.3814 0.0139
Sm1 Sm 0.0000 0.0000 0.0000
Sm2 Sm 0.0000 0.1195 0.7500
Sm3 Sm 0.0000 0.2218 0.0563
Sm4 Sm 0.0000 0.4965 0.2500
Tm1 Tm 0.0000 0.2793 0.7500
```

Largest 10 diffraction maxima, sorted by position, 2θ from 10° to 90°:
h k l, Position (°2θ), intensity
1 3 2, 26.3, 194
1 1 3, 30.5, 144
1 5 2, 30.8, 1000
0 8 0, 32.0, 112
2 0 0, 32.3, 338
1 3 3, 32.6, 108
0 0 4, 34.2, 179
2 0 4, 47.8, 148
3 5 2, 56.6, 243
1 13 2, 58.8, 124



Record 5
Diffraction record for PmSi7Ru3. The PXRD pattern is simulated, not measured: it uses a cell relaxed with PBE and Cu Kα (λ = 1.5418 Å).

Crystal structure
```
data_PmSi7Ru3
_chemical_formula_sum 'Pm6 Si42 Ru18'
_space_group_name_H-M_alt 'R -3 c'
_space_group_IT_number 167
_space_group_name_Hall '-R 3 2"c'
_cell_length_a 7.6603
_cell_length_b 7.6603
_cell_length_c 20.0984
_cell_angle_alpha 90.00
_cell_angle_beta 90.00
_cell_angle_gamma 120.00
loop_
_atom_site_label
_atom_site_type_symbol
_atom_site_fract_x
_atom_site_fract_y
_atom_site_fract_z
Pm1 Pm 0.0000 0.0000 0.0000
Si1 Si 0.0000 0.0000 0.2500
Si2 Si 0.0078 0.1995 0.1389
Ru1 Ru 0.0000 0.3278 0.2500
```

Largest 10 diffraction maxima, sorted by position, 2θ from 10° to 90°:
h k l, Position (°2θ), intensity
0 1 2, 16.0, 269
1 1 3, 26.8, 1000
1 1 6, 35.6, 636
0 1 8, 38.3, 232
2 1 4, 40.2, 369
3 0 0, 40.8, 585
1 1 9, 47.1, 446
2 2 3, 49.5, 365
3 0 12, 70.5, 293
1 4 6, 70.9, 227



Record 6
Diffraction record for Pm3HoPb3. The PXRD pattern is simulated, not measured: it uses a cell relaxed with PBE and Cu Kα (λ = 1.5418 Å).

Crystal structure
```
data_Pm3HoPb3
_chemical_formula_sum 'Pm18 Ho6 Pb18'
_space_group_name_H-M_alt 'R -3'
_space_group_IT_number 148
_space_group_name_Hall '-R 3'
_cell_length_a 9.3452
_cell_length_b 9.3452
_cell_length_c 18.9251
_cell_angle_alpha 90.00
_cell_angle_beta 90.00
_cell_angle_gamma 120.00
loop_
_atom_site_label
_atom_site_type_symbol
_atom_site_fract_x
_atom_site_fract_y
_atom_site_fract_z
Pm1 Pm 0.0059 0.2621 0.0892
Ho1 Ho 0.0000 0.0000 0.3317
Pb1 Pb 0.0012 0.3903 0.9230
```

Largest 10 diffraction maxima, sorted by position, 2θ from 10° to 90°:
h k l, Position (°2θ), intensity
1 1 0, 19.0, 427
1 1 3, 23.7, 291
0 0 6, 28.3, 538
2 1 1, 29.6, 475
1 2 2, 30.7, 759
3 0 0, 33.2, 833
1 1 6, 34.3, 1000
3 -1 4, 34.9, 484
0 3 6, 44.2, 235
4 -3 4, 44.7, 272



Record 7
Diffraction record for Nd6SnS4. The PXRD pattern is simulated, not measured: it uses a cell relaxed with PBE and Cu Kα (λ = 1.5418 Å).

Crystal structure
```
data_Nd6SnS4
_chemical_formula_sum 'Nd24 Sn4 S16'
_space_group_name_H-M_alt 'C m c m'
_space_group_IT_number 63
_space_group_name_Hall '-C 2c 2'
_cell_length_a 4.1888
_cell_length_b 13.4471
_cell_length_c 20.7156
_cell_angle_alpha 90.00
_cell_angle_beta 90.00
_cell_angle_gamma 90.00
loop_
_atom_site_label
_atom_site_type_symbol
_atom_site_fract_x
_atom_site_fract_y
_atom_site_fract_z
Nd1 Nd 0.0000 0.0000 0.0000
Nd2 Nd 0.0000 0.1657 0.2500
Nd3 Nd 0.0000 0.2700 0.5835
Nd4 Nd 0.0000 0.4612 0.1583
Sn1 Sn 0.0000 0.1584 0.7500
S1 S 0.0000 0.0966 0.1229
S2 S 0.0000 0.3633 0.0394
```

Largest 10 diffraction maxima, sorted by position, 2θ from 10° to 90°:
h k l, Position (°2θ), intensity
1 1 3, 25.7, 254
1 1 4, 28.2, 567
0 2 6, 29.1, 967
1 3 1, 29.5, 354
1 3 2, 30.5, 1000
1 3 3, 32.0, 367
2 0 0, 43.2, 334
1 5 4, 43.7, 252
2 2 6, 52.9, 365
1 3 10, 53.4, 213



Record 8
Diffraction record for Er2MgNi9. The PXRD pattern is simulated, not measured: it uses a cell relaxed with PBE and Cu Kα (λ = 1.5418 Å).

Crystal structure
```
data_Er2MgNi9
_chemical_formula_sum 'Er6 Mg3 Ni27'
_space_group_name_H-M_alt 'R -3 m'
_space_group_IT_number 166
_space_group_name_Hall '-R 3 2"'
_cell_length_a 4.9042
_cell_length_b 4.9042
_cell_length_c 24.0657
_cell_angle_alpha 90.00
_cell_angle_beta 90.00
_cell_angle_gamma 120.00
loop_
_atom_site_label
_atom_site_type_symbol
_atom_site_fract_x
_atom_site_fract_y
_atom_site_fract_z
Er1 Er 0.0000 0.0000 0.1365
Mg1 Mg 0.0000 0.0000 0.0000
Ni1 Ni 0.0000 0.0000 0.3330
Ni2 Ni 0.0000 0.0000 0.5000
Ni3 Ni 0.0015 0.5007 0.9182
```

Largest 10 diffraction maxima, sorted by position, 2θ from 10° to 90°:
h k l, Position (°2θ), intensity
0 0 3, 11.0, 472
1 0 4, 25.7, 359
1 0 7, 33.5, 401
1 1 0, 36.6, 897
0 2 1, 42.7, 371
1 1 6, 43.2, 1000
0 2 4, 45.3, 421
2 0 5, 46.7, 859
1 2 11, 73.1, 211
2 2 0, 77.9, 253